Computed X-ray powder pattern of PaTe2I2 for Cu Kα, 1.54184 Å, from a cell relaxed with GGA-PBE.

```
10
Lattice="3.7799 -7.0440 0.0000 3.7799 7.0440 0.0000 -2.4946 0.0000 7.4107" Properties=species:S:1:pos:R:3 pbc="T T T"
Pa 3.7799 5.1456 0.0000
Pa 3.7799 -5.1456 0.0000
Te -0.0084 0.0000 2.4902
Te 2.3291 0.0000 0.8268
Te 2.7361 0.0000 6.5839
Te 5.0736 0.0000 4.9205
I -0.0899 2.9742 5.6098
I -0.0899 -2.9742 5.6098
I 5.1551 2.9742 1.8009
I 5.1551 -2.9742 1.8009
```

Peak list (12 most intense, 2θ = 15–90°, in order of rising 2θ)
d_spacing, I_rel
5.706, 15.4
3.928, 13.5
3.244, 100.0
2.853, 47.7
2.564, 42.8
2.555, 34.2
2.512, 20.8
2.482, 37.8
2.336, 12.7
2.242, 25.2
1.915, 23.4
1.792, 11.4